Diffraction record for NiAu2O. The powder X-ray diffraction pattern is theoretical, not measured: it uses the GGA+U geometry in Alexandria and CuKα.
Kinematic intensities with the Lorentz-polarization factor, no thermal factor.

Peak list (10 most intense, 5° ≤ 2θ ≤ 70°, in order of rising 2θ)
- 2θ 26.2, rel. 74.4, (2 0 0)
- 2θ 34.0, rel. 31.9, (2 1 1)
- 2θ 37.3, rel. 66.6, (2 2 0)
- 2θ 39.0, rel. 100.0, (1 1 2)
- 2θ 43.4, rel. 15.0, (3 0 1)
- 2θ 51.4, rel. 12.3, (3 2 1)
- 2θ 53.8, rel. 18.3, (4 0 0)
- 2θ 55.1, rel. 56.4, (3 1 2)
- 2θ 58.6, rel. 11.9, (4 1 1)
- 2θ 68.5, rel. 10.8, (3 3 2)

Cell and atoms:
```
NiAu2O
1.0
6.812 0.000 0.000
0.000 6.812 0.000
0.000 0.000 5.261
Ni Au O
4 8 4
Cartesian
0.000 0.000 0.000
0.000 3.406 1.315
3.406 0.000 3.946
3.406 3.406 2.630
1.422 1.703 3.288
1.703 4.828 4.603
1.703 5.390 1.973
1.984 1.703 0.658
4.828 5.109 0.658
5.109 1.422 1.973
5.109 1.984 4.603
5.390 5.109 3.288
0.000 0.000 2.630
0.000 3.406 3.946
3.406 0.000 1.315
3.406 3.406 0.000
```